Diffraction record for Er5Al2. The powder diffractogram is simulated, not measured: it uses a DFT-relaxed cell (PBE, Alexandria) and Cu Kα X-rays.
Peak positions follow from Bragg's law for the DFT cell and can differ from measured ones.

Structure:
Unit cell a=4.489 b=37.299 c=4.614 alpha=90.00 beta=90.00 gamma=90.00
Space group Cmcm (No. 63)
Unique sites:
Er  0.000  0.036  0.250
Er  0.000  0.112  0.750
Er  0.000  0.247  0.250
Er  0.000  0.326  0.750
Er  0.000  0.461  0.250
Al  0.000  0.193  0.750
Al  0.000  0.407  0.750

Most intense lines, 2θ from 10° to 90°, by angle:
index	d [Å]	2θ/deg	intensity
1 9 0	3.045	29.33	17
1 5 1	2.954	30.25	100
0 14 0	2.664	33.64	29
1 9 1	2.542	35.32	48
0 0 2	2.307	39.04	28
2 0 0	2.244	40.18	22
0 14 2	1.744	52.47	16
2 14 0	1.717	53.37	16
1 19 1	1.676	54.78	21
2 0 2	1.609	57.27	19